Computed powder diffractogram of La2BiB for Cu Kα (weighted mean of Kα1 and Kα2), from a structure optimized by DFT (PBE).
Neutral-atom scattering factors, no anomalous dispersion.

Structure:
Lattice parameters (Å, degrees): 7.909 7.909 7.498 90.00 90.00 90.00
Space group I-42d (No. 122)
Inequivalent atoms, fractional coordinates:
La 0.182 0.250 0.125 [8 per cell]
Bi 0.000 0.000 0.500 [4 per cell]
B 0.000 0.000 0.000 [4 per cell]

Largest 10 diffraction maxima, in order of rising 2θ, 2θ = 15–90°:
two_theta	d [Å]	Rel. int.
16.29	5.441	220
27.89	3.199	973
28.67	3.114	1000
32.01	2.796	540
36.11	2.487	372
37.75	2.383	175
43.50	2.081	438
54.15	1.694	308
55.76	1.649	248
59.75	1.548	221